For PrYTm3Th, a crystal structure in Alexandria, relaxed with GGA-PBE gives the calculated X-ray diffraction stick pattern in this record (Cu Ka).
Neutral-atom scattering factors, no anomalous dispersion.

a = 5.823 Å, b = 11.286 Å, c = 11.649 Å
α = 90.00°, β = 90.00°, γ = 90.00°
Space group Cmcm (No. 63)
Unique sites:
Pr 0.000 0.000 0.000
Y 0.000 0.179 0.250
Tm 0.000 0.175 0.750
Tm 0.000 0.332 0.502
Th 0.000 0.499 0.250

Top 8 peaks for 2θ = 10–90°, most intense first:
2θ 32.23, rel. 100, hkl 1 3 2
2θ 30.70, rel. 57, hkl 2 0 0
2θ 55.56, rel. 43, hkl 3 3 2
2θ 43.98, rel. 22, hkl 2 0 4
2θ 58.41, rel. 18, hkl 2 6 0
2θ 89.72, rel. 12, hkl 5 3 2
2θ 67.44, rel. 12, hkl 2 6 4
2θ 72.60, rel. 10, hkl 4 0 4

For La6Sm2Mg, a crystal structure in Alexandria, relaxed with GGA-PBE gives the calculated X-ray diffraction stick pattern in this record (Cu Ka).
Neutral-atom scattering factors, no anomalous dispersion.

a = 10.0126 Å, b = 10.0126 Å, c = 3.6516 Å
α = 90.00°, β = 90.00°, γ = 120.00°
Space group P-62m (No. 189)
Unique sites:
La 0.0000 0.2974 0.0000
La 0.0000 0.6392 0.5000
Sm 0.3333 0.6667 0.0000
Mg 0.0000 0.0000 0.5000

Top 8 peaks for 2θ = 10–90°, most intense first:
2θ 30.30, rel. 100, hkl 1 1 1
2θ 30.94, rel. 96, hkl 3 0 0
2θ 59.92, rel. 29, hkl 3 0 2
2θ 43.85, rel. 29, hkl 2 2 1
2θ 54.63, rel. 27, hkl 4 1 1
2θ 27.21, rel. 20, hkl 2 1 0
2θ 32.05, rel. 20, hkl 2 0 1
2θ 52.37, rel. 18, hkl 3 2 1

For Li3Pm3PtO8, a crystal structure in Alexandria, relaxed with GGA-PBE gives the calculated X-ray diffraction stick pattern in this record (Cu Ka).
Neutral-atom scattering factors, no anomalous dispersion.

a = 11.063 Å, b = 6.864 Å, c = 6.502 Å
α = 90.00°, β = 121.28°, γ = 90.00°
Space group C2/m (No. 12)
Unique sites:
Li 0.000 0.000 0.000
Li 0.250 0.250 0.500
Pm 0.000 0.500 0.500
Pm 0.250 0.250 0.000
Pt 0.000 0.500 0.000
O 0.000 0.277 0.221
O 0.221 0.500 0.224
O 0.246 0.500 0.753

Top 8 peaks for 2θ = 10–90°, most intense first:
2θ 15.95, rel. 100, hkl 1 1 0
2θ 32.23, rel. 39, hkl 2 2 0
2θ 38.20, rel. 37, hkl 2 2 -2
2θ 31.28, rel. 34, hkl 2 2 -1
2θ 38.07, rel. 19, hkl 4 0 0
2θ 56.77, rel. 16, hkl 6 2 -2
2θ 32.62, rel. 16, hkl 3 1 -2
2θ 40.52, rel. 15, hkl 1 3 0

For Th2UCd, a crystal structure in Alexandria, relaxed with GGA-PBE gives the calculated X-ray diffraction stick pattern in this record (Cu Ka).
Neutral-atom scattering factors, no anomalous dispersion.

a = 5.676 Å, b = 5.676 Å, c = 3.323 Å
α = 90.00°, β = 90.00°, γ = 90.00°
Space group P4/mmm (No. 123)
Unique sites:
Th 0.000 0.500 0.000
U 0.000 0.000 0.500
Cd 0.500 0.500 0.500

Top 8 peaks for 2θ = 10–90°, most intense first:
2θ 35.06, rel. 100, hkl 1 1 1
2θ 31.52, rel. 66, hkl 2 0 0
2θ 58.44, rel. 47, hkl 3 1 1
2θ 45.18, rel. 25, hkl 2 2 0
2θ 65.05, rel. 17, hkl 2 0 2
2θ 74.08, rel. 12, hkl 2 2 2
2θ 74.80, rel. 12, hkl 4 2 0
2θ 76.80, rel. 11, hkl 3 3 1

For BiPd6Pb3, a crystal structure in Alexandria, relaxed with GGA-PBE gives the calculated X-ray diffraction stick pattern in this record (Cu Ka).
Neutral-atom scattering factors, no anomalous dispersion.

a = 10.965 Å, b = 10.164 Å, c = 7.574 Å
α = 90.00°, β = 90.00°, γ = 90.00°
Space group Cmc2_1 (No. 36)
Unique sites:
Bi 0.000 0.205 0.000
Pd 0.000 0.038 0.304
Pd 0.000 0.203 0.629
Pd 0.155 0.417 0.677
Pd 0.227 0.146 0.846
Pb 0.000 0.410 0.366
Pb 0.213 0.111 0.487

Top 8 peaks for 2θ = 10–90°, most intense first:
2θ 35.27, rel. 100, hkl 0 4 0
2θ 26.66, rel. 97, hkl 2 2 1
2θ 43.29, rel. 84, hkl 2 2 3
2θ 30.02, rel. 80, hkl 1 3 1
2θ 32.67, rel. 77, hkl 4 0 0
2θ 33.74, rel. 69, hkl 2 2 2
2θ 51.04, rel. 63, hkl 5 3 1
2θ 39.87, rel. 62, hkl 0 2 3

For SrLi6Ga2, a crystal structure in Alexandria, relaxed with GGA-PBE gives the calculated X-ray diffraction stick pattern in this record (Cu Ka).
Neutral-atom scattering factors, no anomalous dispersion.

a = 4.453 Å, b = 4.453 Å, c = 9.962 Å
α = 90.00°, β = 90.00°, γ = 90.00°
Space group P4/mmm (No. 123)
Unique sites:
Sr 0.000 0.000 0.000
Li 0.000 0.000 0.500
Li 0.000 0.500 0.291
Li 0.500 0.500 0.500
Ga 0.500 0.500 0.130

Top 8 peaks for 2θ = 10–90°, most intense first:
2θ 33.67, rel. 100, hkl 1 0 3
2θ 41.55, rel. 90, hkl 1 0 4
2θ 29.76, rel. 90, hkl 1 1 1
2θ 28.35, rel. 76, hkl 1 1 0
2θ 59.43, rel. 51, hkl 2 1 4
2θ 53.67, rel. 40, hkl 2 1 3
2θ 40.52, rel. 40, hkl 2 0 0
2θ 26.86, rel. 34, hkl 1 0 2

For Ac3PuSe4, a crystal structure in Alexandria, relaxed with GGA-PBE gives the calculated X-ray diffraction stick pattern in this record (Cu Ka).
Neutral-atom scattering factors, no anomalous dispersion.

a = 8.830 Å, b = 12.444 Å, c = 4.383 Å
α = 90.00°, β = 90.00°, γ = 90.00°
Space group Cmmm (No. 65)
Unique sites:
Ac 0.000 0.000 0.000
Ac 0.250 0.250 0.500
Pu 0.000 0.500 0.000
Se 0.000 0.257 0.000
Se 0.236 0.500 0.500

Top 8 peaks for 2θ = 10–90°, most intense first:
2θ 28.70, rel. 100, hkl 2 0 1
2θ 41.03, rel. 51, hkl 2 4 1
2θ 67.31, rel. 24, hkl 4 4 2
2θ 24.73, rel. 21, hkl 2 2 0
2θ 24.85, rel. 21, hkl 0 2 1
2θ 50.97, rel. 14, hkl 0 4 2
2θ 50.71, rel. 14, hkl 4 4 0
2θ 59.43, rel. 13, hkl 4 0 2